(1)
Structure and simulated powder X-ray diffraction pattern of YAgPbSe3 (a structure optimized by DFT (GGA-PBE); Cu Kα, 1.54184 Å).
Kinematic intensities with the Lorentz-polarization factor, no thermal factor.

Structural model:
```
24
Lattice="13.7714 0.0000 0.0000 0.0000 4.1406 0.0000 0.0000 0.0000 10.9641" Properties=species:S:1:pos:R:3 pbc="T T T"
Y 0.2014 1.0352 1.8722
Y 6.6843 3.1055 7.3542
Y 7.0871 1.0352 3.6098
Y 13.5700 3.1055 9.0918
Ag 0.1187 3.1055 4.4963
Ag 6.7670 1.0352 9.9783
Ag 7.0044 3.1055 0.9857
Ag 13.6527 1.0352 6.4677
Pb 3.1001 1.0352 5.0200
Pb 3.7856 3.1055 10.5020
Pb 9.9858 1.0352 0.4620
Pb 10.6713 3.1055 5.9440
Se 1.4710 1.0352 10.2659
Se 1.6412 3.1055 6.8683
Se 2.0509 3.1055 2.6868
Se 4.8347 1.0352 8.1689
Se 5.2445 1.0352 1.3863
Se 5.4147 3.1055 4.7838
Se 8.3567 1.0352 6.1802
Se 8.5269 3.1055 9.5778
Se 8.9366 3.1055 2.7952
Se 11.7204 1.0352 8.2772
Se 12.1302 1.0352 4.0957
Se 12.3004 3.1055 0.6982
```

Principal peaks in the range 2θ from 10° to 90°, in order of rising 2θ:
- 30.00°, intensity 26
- 30.19°, intensity 86
- 33.38°, intensity 100
- 35.25°, intensity 66
- 42.73°, intensity 22
- 43.72°, intensity 33
- 48.83°, intensity 24
- 54.31°, intensity 22

---

(2)
Structure and simulated powder X-ray diffraction pattern of Si2Ag2Pb3 (a structure optimized by DFT (GGA-PBE); Cu Kα, 1.54184 Å).
Kinematic intensities with the Lorentz-polarization factor, no thermal factor.

Structural model:
```
7
Lattice="2.5052 1.4464 8.1382 -2.5052 1.4464 8.1382 0.0000 -2.8928 8.1382" Properties=species:S:1:pos:R:3 pbc="T T T"
Si 0.0000 0.0000 0.0000
Si 0.0000 0.0000 12.0865
Ag 0.0000 0.0000 5.6187
Ag 0.0000 0.0000 18.2430
Pb 0.0000 0.0000 9.1822
Pb 0.0000 0.0000 15.1197
Pb 0.0000 0.0000 21.1307
```

Principal peaks in the range 2θ from 10° to 90°, in order of rising 2θ:
- 20.79°, intensity 21
- 21.74°, intensity 26
- 25.18°, intensity 33
- 27.50°, intensity 24
- 35.84°, intensity 100
- 35.98°, intensity 89
- 51.69°, intensity 32
- 64.47°, intensity 51

---

(3)
Structure and simulated powder X-ray diffraction pattern of Tb3Si2Ag4Pb2 (a structure optimized by DFT (GGA-PBE); Cu Kα, 1.54184 Å).
Kinematic intensities with the Lorentz-polarization factor, no thermal factor.

Structural model:
```
11
Lattice="-2.2406 3.5688 7.6022 2.2406 -3.5688 7.6022 2.2406 3.5688 -7.6022" Properties=species:S:1:pos:R:3 pbc="T T T"
Tb 0.0000 0.0000 0.0000
Tb 2.2406 0.0000 5.8053
Tb 0.0000 3.5688 1.7969
Si 2.2406 2.3602 0.0000
Si 0.0000 1.2086 7.6022
Ag 2.2406 1.4034 -2.2697
Ag 2.2406 1.4034 2.2697
Ag 0.0000 2.1654 5.3325
Ag 0.0000 2.1654 9.8720
Pb 0.0000 0.0000 3.3656
Pb 0.0000 0.0000 11.8389
```

Principal peaks in the range 2θ from 10° to 90°, in order of rising 2θ:
- 11.64°, intensity 24
- 31.99°, intensity 33
- 32.61°, intensity 61
- 33.36°, intensity 100
- 36.75°, intensity 27
- 40.25°, intensity 34
- 52.31°, intensity 17
- 74.02°, intensity 16